No. 1
# Th3Sc2Pb3
Theoretical PXRD pattern, a wavelength of 1.5418 Å. Input: the GGA-PBE geometry in Alexandria.
Neutral-atom scattering factors, no anomalous dispersion.

Top 10 peaks for 10 to 90 degrees two-theta, by angle:
- hkl 1 1 0, 19.29 deg, d = 4.600 Å, rel. 207
- hkl 0 0 2, 28.50 deg, d = 3.132 Å, rel. 307
- hkl 2 1 0, 29.66 deg, d = 3.012 Å, rel. 143
- hkl 2 1 1, 33.00 deg, d = 2.714 Å, rel. 1000
- hkl 3 0 0, 33.75 deg, d = 2.656 Å, rel. 107
- hkl 1 1 2, 34.65 deg, d = 2.589 Å, rel. 230
- hkl 3 1 1, 43.42 deg, d = 2.084 Å, rel. 131
- hkl 2 1 3, 53.40 deg, d = 1.716 Å, rel. 264
- hkl 3 3 1, 62.34 deg, d = 1.489 Å, rel. 108
- hkl 5 0 2, 65.75 deg, d = 1.420 Å, rel. 135

Cell and atoms:
abc: 9.2005 9.2005 6.2632
angles: 90.00 90.00 120.00
Space group P6_3/mcm (No. 193)
Asymmetric unit:
Th 0.0000 0.2386 0.2500 x6
Sc 0.3333 0.6667 0.0000 x4
Pb 0.0000 0.4060 0.7500 x6



No. 2
# Ho6ThTl
Theoretical PXRD pattern, a wavelength of 1.5418 Å. Input: the GGA-PBE geometry in Alexandria.
Neutral-atom scattering factors, no anomalous dispersion.

Top 10 peaks for 10 to 90 degrees two-theta, by angle:
- hkl 1 1 2, 31.46 deg, d = 2.843 Å, rel. 1000
- hkl 0 0 4, 36.15 deg, d = 2.485 Å, rel. 173
- hkl 2 0 0, 36.66 deg, d = 2.451 Å, rel. 333
- hkl 2 0 4, 52.43 deg, d = 1.745 Å, rel. 241
- hkl 2 2 0, 52.81 deg, d = 1.733 Å, rel. 118
- hkl 1 1 6, 62.10 deg, d = 1.495 Å, rel. 145
- hkl 3 1 2, 62.78 deg, d = 1.480 Å, rel. 282
- hkl 2 2 4, 65.68 deg, d = 1.422 Å, rel. 123
- hkl 3 1 6, 85.85 deg, d = 1.132 Å, rel. 121
- hkl 3 3 2, 86.46 deg, d = 1.126 Å, rel. 60

Cell and atoms:
abc: 4.903 4.903 9.940
angles: 90.00 90.00 90.00
Space group P4/mmm (No. 123)
Asymmetric unit:
Ho 0.000 0.000 0.000 x1
Ho 0.000 0.000 0.500 x1
Ho 0.000 0.500 0.247 x4
Th 0.500 0.500 0.500 x1
Tl 0.500 0.500 0.000 x1



No. 3
# Ta2NiGe
Theoretical PXRD pattern, a wavelength of 1.5418 Å. Input: the GGA-PBE geometry in Alexandria.
Neutral-atom scattering factors, no anomalous dispersion.

Top 10 peaks for 10 to 90 degrees two-theta, by angle:
- hkl 1 1 0, 30.69 deg, d = 2.913 Å, rel. 294
- hkl 0 1 2, 36.58 deg, d = 2.456 Å, rel. 1000
- hkl 2 0 0, 37.10 deg, d = 2.423 Å, rel. 184
- hkl 2 0 -2, 37.69 deg, d = 2.386 Å, rel. 480
- hkl 2 1 0, 44.92 deg, d = 2.018 Å, rel. 301
- hkl 2 1 -2, 45.43 deg, d = 1.997 Å, rel. 211
- hkl 0 2 0, 50.05 deg, d = 1.823 Å, rel. 198
- hkl 1 0 -4, 51.65 deg, d = 1.770 Å, rel. 177
- hkl 2 2 -2, 64.31 deg, d = 1.448 Å, rel. 203
- hkl 1 1 4, 70.81 deg, d = 1.331 Å, rel. 150

Cell and atoms:
abc: 5.159 3.645 7.079
angles: 90.00 110.02 90.00
Space group P2_1/m (No. 11)
Asymmetric unit:
Ta 0.187 0.250 0.427 x2
Ta 0.197 0.250 0.918 x2
Ni 0.344 0.750 0.707 x2
Ge 0.352 0.750 0.214 x2